This entry pairs a crystal structure of Tm3Zn3Ni2 with its theoretical X-ray diffraction stick pattern. Radiation: Cu Kα X-rays. Structure: a crystal structure in Alexandria, relaxed with PBE.
Lines closer than 0.1° are merged.

Most intense lines, 10° ≤ 2θ ≤ 90°, by angle:
- 2θ = 31.00°, intensity 75.1, (1 4 1)
- 2θ = 33.76°, intensity 96.5, (2 4 0)
- 2θ = 34.52°, intensity 64.1, (0 6 0)
- 2θ = 36.00°, intensity 37.1, (1 0 2)
- 2θ = 36.48°, intensity 78.2, (1 1 2)
- 2θ = 37.88°, intensity 100.0, (2 4 1)
- 2θ = 40.09°, intensity 69.8, (1 3 2)
- 2θ = 41.05°, intensity 68.5, (3 0 1)
- 2θ = 43.04°, intensity 41.9, (1 4 2)
- 2θ = 55.27°, intensity 35.4, (1 7 2)

Structural model:
Cell lengths 7.247, 15.603, 5.314 Å; angles 90.00, 90.00, 90.00 degrees
Atoms (fractional coordinates):
Tm1 0.037 0.108 0.118
Tm2 0.037 0.392 0.118
Tm3 0.166 0.250 0.641
Tm4 0.334 0.750 0.141
Tm5 0.463 0.608 0.618
Tm6 0.463 0.892 0.618
Tm7 0.537 0.108 0.382
Tm8 0.537 0.392 0.382
Tm9 0.666 0.250 0.859
Tm10 0.834 0.750 0.359
Tm11 0.963 0.608 0.882
Tm12 0.963 0.892 0.882
Zn1 0.175 0.032 0.602
Zn2 0.175 0.468 0.602
Zn3 0.175 0.750 0.635
Zn4 0.325 0.250 0.135
Zn5 0.325 0.532 0.102
Zn6 0.325 0.968 0.102
Zn7 0.675 0.032 0.898
Zn8 0.675 0.468 0.898
Zn9 0.675 0.750 0.865
Zn10 0.825 0.250 0.365
Zn11 0.825 0.532 0.398
Zn12 0.825 0.968 0.398
Ni1 0.118 0.616 0.379
Ni2 0.118 0.884 0.379
Ni3 0.382 0.116 0.879
Ni4 0.382 0.384 0.879
Ni5 0.618 0.616 0.121
Ni6 0.618 0.884 0.121
Ni7 0.882 0.116 0.621
Ni8 0.882 0.384 0.621